1.
CaTiB2: simulated XRD peak list (Cu Kα (weighted mean of Kα1 and Kα2)), based on a PBE-relaxed structure.
Lines closer than 0.1° are merged.

```
CaTiB2
1.0
-2.225 2.225 7.305
2.225 -2.225 7.305
2.225 2.225 -7.305
Ca Ti B
2 2 4
direct
0.000 0.000 0.000 Ca
0.750 0.250 0.500 Ca
0.250 0.750 0.500 Ti
0.500 0.500 0.000 Ti
0.288 0.625 0.163 B
0.375 0.538 0.663 B
0.462 0.125 0.837 B
0.875 0.712 0.337 B
```

Largest 6 diffraction maxima, most intense first, 2θ = 5–70°:
30.94 deg, I 100
24.37 deg, I 30
47.86 deg, I 29
47.19 deg, I 28
40.54 deg, I 20
67.81 deg, I 17

=====

2.
CaTmB12: simulated XRD peak list (Cu Kα (weighted mean of Kα1 and Kα2)), based on a PBE-relaxed structure.
Lines closer than 0.1° are merged.

```
CaTmB12
1.0
4.111 0.000 0.000
0.000 4.111 0.000
0.000 0.000 8.226
Ca Tm B
1 1 12
direct
0.000 0.000 0.000 Ca
0.000 0.000 0.500 Tm
0.200 0.500 0.252 B
0.200 0.500 0.748 B
0.500 0.200 0.252 B
0.500 0.200 0.748 B
0.500 0.500 0.101 B
0.500 0.500 0.401 B
0.500 0.500 0.599 B
0.500 0.500 0.899 B
0.500 0.800 0.252 B
0.500 0.800 0.748 B
0.800 0.500 0.252 B
0.800 0.500 0.748 B
```

Largest 6 diffraction maxima, most intense first, 2θ = 5–70°:
30.75 deg, I 100
10.75 deg, I 57
21.61 deg, I 50
49.58 deg, I 48
37.90 deg, I 43
24.20 deg, I 37

=====

3.
CaUB12: simulated XRD peak list (Cu Kα (weighted mean of Kα1 and Kα2)), based on a PBE-relaxed structure.
Lines closer than 0.1° are merged.

```
CaUB12
1.0
4.102 0.000 0.000
0.000 4.102 0.000
0.000 0.000 8.237
Ca U B
1 1 12
direct
0.000 0.000 0.000 Ca
0.000 0.000 0.500 U
0.199 0.500 0.252 B
0.199 0.500 0.748 B
0.500 0.199 0.252 B
0.500 0.199 0.748 B
0.500 0.500 0.101 B
0.500 0.500 0.401 B
0.500 0.500 0.599 B
0.500 0.500 0.899 B
0.500 0.801 0.252 B
0.500 0.801 0.748 B
0.801 0.500 0.252 B
0.801 0.500 0.748 B
```

Largest 6 diffraction maxima, most intense first, 2θ = 5–70°:
30.78 deg, I 100
10.74 deg, I 76
21.63 deg, I 61
24.24 deg, I 50
37.94 deg, I 43
49.68 deg, I 33

=====

4.
CeCd4B3Pt12: simulated XRD peak list (Cu Kα (weighted mean of Kα1 and Kα2)), based on a PBE-relaxed structure.
Lines closer than 0.1° are merged.

```
CeCd4B3Pt12
1.0
-4.458 4.458 4.458
4.458 -4.458 4.458
4.458 4.458 -4.458
Ce Cd B Pt
1 4 3 12
direct
0.000 0.000 0.000 Ce
0.000 0.000 0.500 Cd
0.000 0.500 0.000 Cd
0.500 0.000 0.000 Cd
0.500 0.500 0.500 Cd
0.000 0.500 0.500 B
0.500 0.000 0.500 B
0.500 0.500 0.000 B
0.000 0.282 0.282 Pt
0.000 0.718 0.718 Pt
0.250 0.500 0.750 Pt
0.250 0.750 0.500 Pt
0.282 0.000 0.282 Pt
0.282 0.282 0.000 Pt
0.500 0.250 0.750 Pt
0.500 0.750 0.250 Pt
0.718 0.000 0.718 Pt
0.718 0.718 0.000 Pt
0.750 0.250 0.500 Pt
0.750 0.500 0.250 Pt
```

Largest 6 diffraction maxima, most intense first, 2θ = 5–70°:
34.86 deg, I 100
40.47 deg, I 63
58.57 deg, I 39
19.92 deg, I 12
37.76 deg, I 7
47.86 deg, I 7

=====

5.
CdBCl: simulated XRD peak list (Cu Kα (weighted mean of Kα1 and Kα2)), based on a PBE-relaxed structure.
Lines closer than 0.1° are merged.

```
CdBCl
1.0
4.482 0.000 0.000
0.000 4.483 0.000
-0.204 -0.008 8.042
Cd B Cl
2 2 2
direct
0.000 0.000 0.000 Cd
0.499 0.500 0.000 Cd
0.003 0.500 0.072 B
0.996 0.499 0.262 B
0.489 0.000 0.769 Cl
0.983 0.496 0.471 Cl
```

Largest 6 diffraction maxima, most intense first, 2θ = 5–70°:
11.00 deg, I 100
30.13 deg, I 29
30.51 deg, I 29
22.11 deg, I 25
40.25 deg, I 20
35.76 deg, I 16

=====

6.
CdB2Cl6: simulated XRD peak list (Cu Kα (weighted mean of Kα1 and Kα2)), based on a PBE-relaxed structure.
Lines closer than 0.1° are merged.

```
CdB2Cl6
1.0
8.678 -5.680 0.000
8.678 5.680 0.000
-2.795 0.000 6.821
Cd B Cl
2 4 12
direct
0.009 0.991 0.750 Cd
0.991 0.009 0.250 Cd
0.239 0.422 0.305 B
0.422 0.239 0.805 B
0.578 0.761 0.195 B
0.761 0.578 0.695 B
0.113 0.332 0.198 Cl
0.180 0.610 0.371 Cl
0.324 0.423 0.846 Cl
0.332 0.113 0.698 Cl
0.390 0.820 0.129 Cl
0.423 0.324 0.346 Cl
0.577 0.676 0.654 Cl
0.610 0.180 0.871 Cl
0.668 0.887 0.302 Cl
0.676 0.577 0.154 Cl
0.820 0.390 0.629 Cl
0.887 0.668 0.802 Cl
```

Largest 6 diffraction maxima, most intense first, 2θ = 5–70°:
18.32 deg, I 100
28.89 deg, I 93
26.29 deg, I 82
15.60 deg, I 46
24.16 deg, I 39
26.13 deg, I 38

=====

7.
CdB2Cl8: simulated XRD peak list (Cu Kα (weighted mean of Kα1 and Kα2)), based on a PBE-relaxed structure.
Lines closer than 0.1° are merged.

```
CdB2Cl8
1.0
8.451 -4.456 0.000
8.451 4.456 0.000
-6.116 0.000 8.679
Cd B Cl
2 4 16
direct
0.004 0.996 0.750 Cd
0.996 0.004 0.250 Cd
0.144 0.673 0.450 B
0.327 0.856 0.050 B
0.673 0.144 0.950 B
0.856 0.327 0.550 B
0.083 0.229 0.529 Cl
0.106 0.684 0.260 Cl
0.179 0.740 0.887 Cl
0.229 0.083 0.029 Cl
0.260 0.821 0.613 Cl
0.269 0.445 0.448 Cl
0.316 0.894 0.240 Cl
0.445 0.269 0.948 Cl
0.555 0.731 0.052 Cl
0.684 0.106 0.760 Cl
0.731 0.555 0.552 Cl
0.740 0.179 0.387 Cl
0.771 0.917 0.971 Cl
0.821 0.260 0.113 Cl
0.894 0.316 0.740 Cl
0.917 0.771 0.471 Cl
```

Largest 6 diffraction maxima, most intense first, 2θ = 5–70°:
11.82 deg, I 100
12.82 deg, I 55
29.69 deg, I 53
20.19 deg, I 24
21.74 deg, I 23
29.97 deg, I 21